Starting from a structure optimized by DFT (GGA+U), the PXRD pattern of CsNiF6 was computed for Cu Kα, 1.54184 Å.
No peak broadening, texture or thermal motion is included.

Principal peaks in the range 2θ from 15° to 90°, by angle:
d_spacing	2theta	I (rel.)	index
4.163	21.3	100	1 1 -1
3.033	29.5	34	1 1 1
2.980	30.0	16	2 0 -2
2.909	30.7	9	0 2 0
2.862	31.3	16	3 1 -1
2.469	36.4	12	2 2 -1
2.384	37.7	20	2 2 0
2.333	38.6	10	4 0 -2
1.906	47.7	18	3 1 1
1.880	48.4	9	3 1 -3
1.820	50.1	8	4 2 -2
1.702	53.9	8	1 3 1

Crystal structure
```
CsNiF6
1.0
9.8617 0.0000 0.0000
0.0000 5.8170 0.0000
-3.2049 0.0000 5.0483
Cs Ni F
2 2 12
Cartesian
0.0000 0.0000 0.0000
4.9309 2.9085 0.0000
-1.6024 2.9085 2.5242
3.3284 0.0000 2.5242
-0.1450 2.9085 1.4850
-0.8634 1.6411 3.5503
-0.8634 4.1759 3.5503
2.5893 1.2674 1.4980
2.5893 4.5496 1.4980
1.8710 0.0000 3.5633
4.7858 0.0000 1.4850
4.0675 1.2674 3.5503
4.0675 4.5496 3.5503
7.5202 1.6411 1.4980
7.5202 4.1759 1.4980
6.8019 2.9085 3.5633
```